[1]
For TlAs2RuO8, a DFT-relaxed cell (GGA-PBE, Alexandria) gives the computed powder diffraction line list in this record (copper Kα).

The 12 most intense peaks (2θ = 10–80°), most intense first:
- 2θ 28.44, intensity 100, hkl 1 1 -2
- 2θ 22.58, intensity 59, hkl 1 1 1
- 2θ 35.99, intensity 55, hkl 3 1 0
- 2θ 29.76, intensity 53, hkl 1 1 2
- 2θ 21.14, intensity 50, hkl 2 0 0
- 2θ 32.65, intensity 49, hkl 0 2 0
- 2θ 19.33, intensity 47, hkl 1 1 0
- 2θ 55.76, intensity 29, hkl 1 3 -2
- 2θ 22.95, intensity 27, hkl 2 0 -1
- 2θ 46.10, intensity 21, hkl 2 2 2
- 2θ 31.61, intensity 20, hkl 2 0 2
- 2θ 40.30, intensity 18, hkl 2 2 -1

Structural model:
```
data_TlAs2RuO8
_chemical_formula_sum 'Tl2 As4 Ru2 O16'
_space_group_name_H-M_alt 'C 1 2/m 1'
_space_group_IT_number 12
_cell_length_a 8.4343
_cell_length_b 5.4827
_cell_length_c 8.2725
_cell_angle_alpha 90.00
_cell_angle_beta 94.68
_cell_angle_gamma 90.00
loop_
_space_group_symop_operation_xyz
'x,y,z'
'-x,-y,-z'
'-x,y,-z'
'x,-y,z'
'x+1/2,y+1/2,z'
'-x+1/2,-y+1/2,-z'
'-x+1/2,y+1/2,-z'
'x+1/2,-y+1/2,z'
loop_
_atom_site_label
_atom_site_type_symbol
_atom_site_fract_x
_atom_site_fract_y
_atom_site_fract_z
_atom_site_occupancy
Tl1 Tl 0.0000 0.0000 0.0000 1
As1 As 0.1307 0.5000 0.3042 1
Ru1 Ru 0.0000 0.0000 0.5000 1
O1 O 0.0050 0.2474 0.3274 1
O2 O 0.1914 0.5000 0.1179 1
O3 O 0.2325 0.0000 0.5241 1
```

---

[2]
For BaSbPb2S4, a DFT-relaxed cell (GGA-PBE, Alexandria) gives the computed powder diffraction line list in this record (copper Kα).

The 12 most intense peaks (2θ = 10–80°), most intense first:
- 2θ 29.39, intensity 100, hkl 0 0 2
- 2θ 42.18, intensity 74, hkl 0 4 2
- 2θ 25.05, intensity 64, hkl 2 2 0
- 2θ 25.81, intensity 60, hkl 2 2 -2
- 2θ 29.57, intensity 49, hkl 0 4 0
- 2θ 49.14, intensity 23, hkl 6 2 -2
- 2θ 50.42, intensity 21, hkl 6 2 -4
- 2θ 51.42, intensity 21, hkl 4 4 0
- 2θ 41.07, intensity 20, hkl 4 0 0
- 2θ 53.06, intensity 18, hkl 4 4 -4
- 2θ 43.01, intensity 17, hkl 4 0 -4
- 2θ 69.50, intensity 17, hkl 0 8 2

Structural model:
```
data_BaSbPb2S4
_chemical_formula_sum 'Ba4 Sb4 Pb8 S16'
_space_group_name_H-M_alt 'C 1 2/c 1'
_space_group_IT_number 15
_cell_length_a 12.1632
_cell_length_b 12.0821
_cell_length_c 8.4127
_cell_angle_alpha 90.00
_cell_angle_beta 133.71
_cell_angle_gamma 90.00
loop_
_space_group_symop_operation_xyz
'x,y,z'
'-x,-y,-z'
'-x,y,-z+1/2'
'x,-y,z+1/2'
'x+1/2,y+1/2,z'
'-x+1/2,-y+1/2,-z'
'-x+1/2,y+1/2,-z+1/2'
'x+1/2,-y+1/2,z+1/2'
loop_
_atom_site_label
_atom_site_type_symbol
_atom_site_fract_x
_atom_site_fract_y
_atom_site_fract_z
_atom_site_occupancy
Ba1 Ba 0.0000 0.0000 0.0000 1
Sb1 Sb 0.2500 0.2500 0.0000 1
Pb1 Pb 0.0000 0.5000 0.0000 1
Pb2 Pb 0.2500 0.2500 0.5000 1
S1 S 0.0008 0.2548 0.9820 1
S2 S 0.2408 0.4908 0.9908 1
```

---

[3]
For LiPrDyRh, a DFT-relaxed cell (GGA-PBE, Alexandria) gives the computed powder diffraction line list in this record (copper Kα).

The 12 most intense peaks (2θ = 10–80°), most intense first:
- 2θ 35.63, intensity 100, hkl 2 2 0
- 2θ 64.00, intensity 36, hkl 4 2 2
- 2θ 24.99, intensity 26, hkl 2 0 0
- 2θ 51.27, intensity 18, hkl 4 0 0
- 2θ 21.60, intensity 15, hkl 1 1 1
- 2θ 75.45, intensity 11, hkl 4 4 0
- 2θ 57.86, intensity 11, hkl 4 2 0
- 2θ 44.01, intensity 8, hkl 2 2 2
- 2θ 42.05, intensity 8, hkl 3 1 1
- 2θ 56.26, intensity 3, hkl 3 3 1
- 2θ 68.39, intensity 2, hkl 5 1 1
- 2θ 79.57, intensity 2, hkl 5 3 1

Structural model:
```
data_LiPrDyRh
_chemical_formula_sum 'Li4 Pr4 Dy4 Rh4'
_space_group_name_H-M_alt 'F -4 3 m'
_space_group_IT_number 216
_space_group_name_Hall 'F -4 2 3'
_cell_length_a 7.1274
_cell_length_b 7.1274
_cell_length_c 7.1274
_cell_angle_alpha 90.00
_cell_angle_beta 90.00
_cell_angle_gamma 90.00
loop_
_atom_site_label
_atom_site_type_symbol
_atom_site_fract_x
_atom_site_fract_y
_atom_site_fract_z
_atom_site_occupancy
Li1 Li 0.0000 0.0000 0.0000 1
Pr1 Pr 0.2500 0.2500 0.2500 1
Dy1 Dy 0.2500 0.2500 0.7500 1
Rh1 Rh 0.0000 0.0000 0.5000 1
```

---

[4]
For SmZn4Ag2, a DFT-relaxed cell (GGA-PBE, Alexandria) gives the computed powder diffraction line list in this record (copper Kα).

The 12 most intense peaks (2θ = 10–80°), most intense first:
- 2θ 37.22, intensity 100, hkl 2 2 0
- 2θ 43.02, intensity 72, hkl 2 0 1
- 2θ 38.09, intensity 59, hkl 1 1 -2
- 2θ 38.34, intensity 57, hkl 3 1 -2
- 2θ 33.61, intensity 49, hkl 0 2 1
- 2θ 33.88, intensity 26, hkl 3 1 -1
- 2θ 33.75, intensity 23, hkl 2 2 -1
- 2θ 67.52, intensity 22, hkl 1 3 2
- 2θ 68.02, intensity 22, hkl 5 3 -2
- 2θ 42.68, intensity 19, hkl 2 2 -2
- 2θ 43.36, intensity 19, hkl 4 0 -1
- 2θ 54.22, intensity 18, hkl 1 1 2

Structural model:
```
data_SmZn4Ag2
_chemical_formula_sum 'Sm2 Zn8 Ag4'
_space_group_name_H-M_alt 'C 1 2/m 1'
_space_group_IT_number 12
_cell_length_a 8.6504
_cell_length_b 6.8471
_cell_length_c 5.3942
_cell_angle_alpha 90.00
_cell_angle_beta 127.98
_cell_angle_gamma 90.00
loop_
_space_group_symop_operation_xyz
'x,y,z'
'-x,-y,-z'
'-x,y,-z'
'x,-y,z'
'x+1/2,y+1/2,z'
'-x+1/2,-y+1/2,-z'
'-x+1/2,y+1/2,-z'
'x+1/2,-y+1/2,z'
loop_
_atom_site_label
_atom_site_type_symbol
_atom_site_fract_x
_atom_site_fract_y
_atom_site_fract_z
_atom_site_occupancy
Sm1 Sm 0.0000 0.0000 0.0000 1
Zn1 Zn 0.1892 0.1891 0.6882 1
Ag1 Ag 0.0025 0.5000 0.7524 1
```

---

[5]
For Ba6Cd5, a DFT-relaxed cell (GGA-PBE, Alexandria) gives the computed powder diffraction line list in this record (copper Kα).

The 12 most intense peaks (2θ = 10–80°), most intense first:
- 2θ 29.72, intensity 100, hkl 1 2 3
- 2θ 52.74, intensity 23, hkl 2 4 0
- 2θ 29.60, intensity 20, hkl 2 0 0
- 2θ 52.60, intensity 16, hkl 3 2 3
- 2θ 42.43, intensity 15, hkl 2 0 6
- 2θ 61.72, intensity 12, hkl 2 4 6
- 2θ 69.85, intensity 10, hkl 3 2 9
- 2θ 52.84, intensity 8, hkl 0 4 6
- 2θ 42.66, intensity 7, hkl 0 4 0
- 2θ 70.17, intensity 7, hkl 1 6 3
- 2θ 69.72, intensity 3, hkl 4 0 6
- 2θ 11.53, intensity 3, hkl 0 1 1

Structural model:
```
data_Ba6Cd5
_chemical_formula_sum 'Ba12 Cd10'
_space_group_name_H-M_alt 'I m m m'
_space_group_IT_number 71
_space_group_name_Hall '-I 2 2'
_cell_length_a 6.0363
_cell_length_b 8.4780
_cell_length_c 18.0474
_cell_angle_alpha 90.00
_cell_angle_beta 90.00
_cell_angle_gamma 90.00
loop_
_atom_site_label
_atom_site_type_symbol
_atom_site_fract_x
_atom_site_fract_y
_atom_site_fract_z
_atom_site_occupancy
Ba1 Ba 0.0000 0.2466 0.0000 1
Ba2 Ba 0.0000 0.2514 0.3336 1
Cd1 Cd 0.0000 0.0000 0.1665 1
Cd2 Cd 0.0000 0.5000 0.1709 1
Cd3 Cd 0.0000 0.5000 0.5000 1
```

---

[6]
For Sr4Te2N, a DFT-relaxed cell (GGA-PBE, Alexandria) gives the computed powder diffraction line list in this record (copper Kα).

The 12 most intense peaks (2θ = 10–80°), most intense first:
- 2θ 32.51, intensity 100, hkl 1 1 4
- 2θ 34.41, intensity 61, hkl 2 0 0
- 2θ 26.46, intensity 50, hkl 1 1 2
- 2θ 60.42, intensity 48, hkl 3 1 4
- 2θ 47.99, intensity 29, hkl 2 0 6
- 2θ 24.14, intensity 28, hkl 1 1 0
- 2θ 32.41, intensity 23, hkl 0 0 6
- 2θ 49.45, intensity 22, hkl 2 2 0
- 2θ 61.32, intensity 16, hkl 1 1 10
- 2θ 56.96, intensity 12, hkl 3 1 2
- 2θ 56.76, intensity 10, hkl 2 0 8
- 2θ 40.87, intensity 9, hkl 2 0 4

Structural model:
```
data_Sr4Te2N
_chemical_formula_sum 'Sr8 Te4 N2'
_space_group_name_H-M_alt 'I 4/m m m'
_space_group_IT_number 139
_space_group_name_Hall '-I 4 2'
_cell_length_a 5.2129
_cell_length_b 5.2129
_cell_length_c 16.5762
_cell_angle_alpha 90.00
_cell_angle_beta 90.00
_cell_angle_gamma 90.00
loop_
_atom_site_label
_atom_site_type_symbol
_atom_site_fract_x
_atom_site_fract_y
_atom_site_fract_z
_atom_site_occupancy
Sr1 Sr 0.0000 0.0000 0.1580 1
Sr2 Sr 0.0000 0.5000 0.0000 1
Te1 Te 0.0000 0.0000 0.3606 1
N1 N 0.0000 0.0000 0.0000 1
```

---

[7]
For Y4Tm6Sc, a DFT-relaxed cell (GGA-PBE, Alexandria) gives the computed powder diffraction line list in this record (copper Kα).

The 12 most intense peaks (2θ = 10–80°), most intense first:
- 2θ 32.38, intensity 100, hkl 2 0 0
- 2θ 30.94, intensity 66, hkl 0 2 7
- 2θ 33.90, intensity 32, hkl 1 1 8
- 2θ 45.40, intensity 23, hkl 2 2 7
- 2θ 56.83, intensity 15, hkl 3 1 7
- 2θ 23.28, intensity 15, hkl 0 2 4
- 2θ 57.72, intensity 13, hkl 3 3 0
- 2θ 61.15, intensity 12, hkl 2 0 14
- 2θ 47.59, intensity 12, hkl 0 4 8
- 2θ 21.32, intensity 11, hkl 1 1 3
- 2θ 58.71, intensity 9, hkl 2 4 8
- 2θ 67.84, intensity 8, hkl 2 6 0

Structural model:
```
data_Y4Tm6Sc
_chemical_formula_sum 'Y16 Tm24 Sc4'
_space_group_name_H-M_alt 'C m c m'
_space_group_IT_number 63
_space_group_name_Hall '-C 2c 2'
_cell_length_a 5.5367
_cell_length_b 9.5655
_cell_length_c 25.3698
_cell_angle_alpha 90.00
_cell_angle_beta 90.00
_cell_angle_gamma 90.00
loop_
_atom_site_label
_atom_site_type_symbol
_atom_site_fract_x
_atom_site_fract_y
_atom_site_fract_z
_atom_site_occupancy
Y1 Y 0.0000 0.0024 0.1220 1
Y2 Y 0.0000 0.3341 0.0429 1
Tm1 Tm 0.0000 0.0000 0.0000 1
Tm2 Tm 0.0000 0.0016 0.2500 1
Tm3 Tm 0.0000 0.3313 0.6073 1
Tm4 Tm 0.0000 0.3353 0.1833 1
Sc1 Sc 0.0000 0.3319 0.7500 1
```

---

[8]
For Li2BF5, a DFT-relaxed cell (GGA-PBE, Alexandria) gives the computed powder diffraction line list in this record (copper Kα).

The 12 most intense peaks (2θ = 10–80°), most intense first:
- 2θ 28.12, intensity 100, hkl 1 1 2
- 2θ 44.51, intensity 81, hkl 2 1 3
- 2θ 37.19, intensity 64, hkl 2 0 2
- 2θ 27.91, intensity 60, hkl 1 0 3
- 2θ 41.17, intensity 33, hkl 1 0 5
- 2θ 57.67, intensity 20, hkl 2 0 6
- 2θ 48.79, intensity 19, hkl 2 2 0
- 2θ 33.96, intensity 18, hkl 2 0 0
- 2θ 71.49, intensity 16, hkl 4 0 0
- 2θ 18.35, intensity 15, hkl 1 0 1
- 2θ 58.14, intensity 13, hkl 2 2 4
- 2θ 56.20, intensity 12, hkl 1 0 7

Structural model:
```
data_Li2BF5
_chemical_formula_sum 'Li8 B4 F20'
_space_group_name_H-M_alt 'I 41/a m d'
_space_group_IT_number 141
_cell_length_a 5.2790
_cell_length_b 5.2790
_cell_length_c 12.0519
_cell_angle_alpha 90.00
_cell_angle_beta 90.00
_cell_angle_gamma 90.00
loop_
_space_group_symop_operation_xyz
'x,y,z'
'-x,-y,-z'
'-y+1/4,x+3/4,z+1/4'
'y+1/4,-x+3/4,-z+1/4'
'-x+1/2,-y,z+1/2'
'x+1/2,y,-z+1/2'
'y+1/4,-x+1/4,z+3/4'
'-y+1/4,x+1/4,-z+3/4'
'x,-y,-z'
'-x,y,z'
'-y+1/4,-x+1/4,-z+3/4'
'y+1/4,x+1/4,z+3/4'
'-x+1/2,y,-z+1/2'
'x+1/2,-y,z+1/2'
'y+1/4,x+3/4,-z+1/4'
'-y+1/4,-x+3/4,z+1/4'
'x+1/2,y+1/2,z+1/2'
'-x+1/2,-y+1/2,-z+1/2'
'-y+3/4,x+1/4,z+3/4'
'y+3/4,-x+1/4,-z+3/4'
'-x,-y+1/2,z'
'x,y+1/2,-z'
'y+3/4,-x+3/4,z+1/4'
'-y+3/4,x+3/4,-z+1/4'
'x+1/2,-y+1/2,-z+1/2'
'-x+1/2,y+1/2,z+1/2'
'-y+3/4,-x+3/4,-z+1/4'
'y+3/4,x+3/4,z+1/4'
'-x,y+1/2,-z'
'x,-y+1/2,z'
'y+3/4,x+1/4,-z+3/4'
'-y+3/4,-x+1/4,z+3/4'
loop_
_atom_site_label
_atom_site_type_symbol
_atom_site_fract_x
_atom_site_fract_y
_atom_site_fract_z
_atom_site_occupancy
Li1 Li 0.0000 0.0000 0.0000 1
B1 B 0.0000 0.2500 0.3750 1
F1 F 0.0000 0.0294 0.3084 1
F2 F 0.0000 0.2500 0.8750 1
```

---

What is the formula in the fifth record?
Ba6Cd5